Structure and theoretical powder X-ray diffraction pattern of Nb3O2F5 (a GGA-PBE-relaxed structure; copper Kα).
Kinematic intensities with the Lorentz-polarization factor, no thermal factor.

Main lines, by angle (5° ≤ 2θ ≤ 70°):
two_theta	d [Å]	I/Imax	hkl
12.70	6.969	315	1 1 0
13.23	6.691	1000	0 2 0
16.05	5.522	153	0 1 1
18.23	4.867	232	1 0 1
25.56	3.484	256	2 2 0
32.44	2.760	201	0 2 2
39.40	2.287	115	2 2 2
40.15	2.246	360	0 4 2
44.39	2.041	111	4 0 0
61.38	1.510	129	4 4 2

Cell and atoms:
abc: 8.163 13.382 6.062
angles: 90.00 90.00 90.00
Space group Pnnm (No. 58)
Unique sites:
Nb (0.007, 0.129, 0.000) x4
Nb (0.224, 0.238, 0.219) x8
O (0.025, 0.768, 0.244) x8
F (0.000, 0.000, 0.208) x4
F (0.200, 0.358, 0.000) x4
F (0.221, 0.612, 0.500) x4
F (0.229, 0.350, 0.500) x4
F (0.246, 0.643, 0.000) x4